Theoretical X-ray powder pattern of MgTi8S16 for Cu Ka, from DFT lattice parameters and positions (GGA-PBE).

Principal peaks in the range 10 to 80 degrees two-theta, low angle first:
2θ 15.5, I = 54.3, hkl 1 2 0
2θ 29.9, I = 23.6, hkl 3 2 0
2θ 36.3, I = 100.0, hkl 4 0 0
2θ 39.7, I = 7.9, hkl 3 2 2
2θ 47.7, I = 10.1, hkl 1 6 2
2θ 52.2, I = 62.0, hkl 0 0 4
2θ 54.8, I = 7.7, hkl 3 6 2
2θ 65.2, I = 19.9, hkl 4 0 4

Structural model:
Lattice parameters (Å, degrees): 9.899 14.006 7.015 90.00 90.00 90.00
Space group Pnnm (No. 58)
Inequivalent atoms, fractional coordinates:
Mg  0.000  0.000  0.000 [2 per cell]
Ti  0.000  0.000  0.500 [2 per cell]
Ti  0.000  0.500  0.500 [2 per cell]
Ti  0.006  0.257  0.500 [4 per cell]
Ti  0.245  0.372  0.242 [8 per cell]
S  0.002  0.376  0.256 [8 per cell]
S  0.004  0.874  0.257 [8 per cell]
S  0.246  0.254  0.500 [4 per cell]
S  0.246  0.496  0.500 [4 per cell]
S  0.246  0.752  0.500 [4 per cell]
S  0.247  0.996  0.500 [4 per cell]